Entry 1:
Structure and simulated X-ray powder pattern of Sr2Tl2Rh3 (a DFT-relaxed cell (GGA-PBE, Alexandria); Cu Kα (weighted mean of Kα1 and Kα2)).
Neutral-atom scattering factors, no anomalous dispersion.

Structure:
a = 11.7481 Å, b = 4.4478 Å, c = 7.1597 Å
α = 90.00°, β = 117.88°, γ = 90.00°
Space group C2/m (No. 12)
One atom of each set of equivalent atoms:
Sr: 0.1421 0.0000 0.2703 (multiplicity 4)
Tl: 0.1505 0.0000 0.7628 (multiplicity 4)
Rh: 0.0000 0.5000 0.5000 (multiplicity 2)
Rh: 0.0794 0.5000 0.9271 (multiplicity 4)

Most intense lines, 15° ≤ 2θ ≤ 90°, by angle:
(hkl)	two_theta	I_rel
2 0 -1	16.25	436
1 1 -1	23.63	165
1 1 -2	32.43	620
3 1 0	32.79	1000
3 1 -2	34.56	660
1 1 2	39.07	357
2 0 2	39.69	190
0 2 0	40.57	536
3 1 -3	43.45	161
5 1 -1	44.00	327
2 2 2	58.07	151
7 1 -2	58.78	207

Entry 2:
Structure and simulated X-ray powder pattern of Sr2TlRh (a DFT-relaxed cell (GGA-PBE, Alexandria); Cu Kα (weighted mean of Kα1 and Kα2)).
Neutral-atom scattering factors, no anomalous dispersion.

Structure:
a = 10.0171 Å, b = 6.4652 Å, c = 4.4621 Å
α = 90.00°, β = 116.31°, γ = 90.00°
Space group C2 (No. 5)
One atom of each set of equivalent atoms:
Sr: 0.2030 0.0000 0.2033 (multiplicity 4)
Tl: 0.0000 0.4855 0.0000 (multiplicity 2)
Rh: 0.0000 0.2342 0.5000 (multiplicity 2)

Most intense lines, 15° ≤ 2θ ≤ 90°, by angle:
(hkl)	two_theta	I_rel
1 1 0	16.90	567
2 0 0	19.77	145
2 0 -1	22.25	179
0 2 0	27.59	188
1 1 1	31.47	1000
3 1 0	32.98	397
2 2 -1	35.73	672
4 0 0	40.17	133
2 0 -2	40.43	219
1 3 1	51.29	225
3 3 0	52.31	118
4 2 1	62.74	236

Entry 3:
Structure and simulated X-ray powder pattern of Sr2UZnRh6 (a DFT-relaxed cell (GGA-PBE, Alexandria); Cu Kα (weighted mean of Kα1 and Kα2)).
Neutral-atom scattering factors, no anomalous dispersion.

Structure:
a = 12.0552 Å, b = 5.5242 Å, c = 8.4790 Å
α = 90.00°, β = 130.95°, γ = 90.00°
Space group C2/m (No. 12)
One atom of each set of equivalent atoms:
Sr: 0.2241 0.0000 0.1818 (multiplicity 4)
U: 0.0000 0.0000 0.5000 (multiplicity 2)
Zn: 0.0000 0.5000 0.0000 (multiplicity 2)
Rh: 0.0029 0.2564 0.2667 (multiplicity 8)
Rh: 0.2495 0.5000 0.4348 (multiplicity 4)

Most intense lines, 15° ≤ 2θ ≤ 90°, by angle:
(hkl)	two_theta	I_rel
1 1 -1	19.19	471
2 0 0	19.50	618
1 1 1	27.00	612
1 1 -2	27.84	876
3 1 -1	27.97	671
2 2 0	38.11	483
2 2 -2	38.94	980
4 0 0	39.59	1000
1 1 -3	40.00	568
5 1 -3	42.05	636
0 2 2	43.26	740
4 2 -2	44.55	592

Entry 4:
Structure and simulated X-ray powder pattern of SrV2Rh (a DFT-relaxed cell (GGA-PBE, Alexandria); Cu Kα (weighted mean of Kα1 and Kα2)).
Neutral-atom scattering factors, no anomalous dispersion.

Structure:
a = 4.6527 Å, b = 4.6527 Å, c = 17.5100 Å
α = 90.00°, β = 90.00°, γ = 90.00°
Space group I4_1/amd (No. 141, origin choice 2)
One atom of each set of equivalent atoms:
Sr: 0.0000 0.2500 0.3750 (multiplicity 4)
V: 0.0000 0.0000 0.0000 (multiplicity 8)
Rh: 0.0000 0.2500 0.8750 (multiplicity 4)

Most intense lines, 15° ≤ 2θ ≤ 90°, by angle:
(hkl)	two_theta	I_rel
1 0 1	19.74	291
0 0 4	20.29	132
1 1 2	28.99	1000
2 0 0	38.71	228
0 0 8	41.25	217
1 1 6	41.36	377
2 0 4	44.08	313
2 0 8	57.84	138
1 1 10	59.84	136
2 2 4	60.09	272
3 1 2	64.19	201
3 1 6	71.85	163

Entry 5:
Structure and simulated X-ray powder pattern of SrY3Rh (a DFT-relaxed cell (GGA-PBE, Alexandria); Cu Kα (weighted mean of Kα1 and Kα2)).
Neutral-atom scattering factors, no anomalous dispersion.

Structure:
a = 5.5230 Å, b = 5.5230 Å, c = 5.5230 Å
α = 90.00°, β = 90.00°, γ = 90.00°
Space group Pm-3m (No. 221)
One atom of each set of equivalent atoms:
Sr: 0.0000 0.0000 0.0000 (multiplicity 1)
Y: 0.0000 0.5000 0.5000 (multiplicity 3)
Rh: 0.5000 0.5000 0.5000 (multiplicity 1)

Most intense lines, 15° ≤ 2θ ≤ 90°, by angle:
(hkl)	two_theta	I_rel
1 0 0	16.05	316
1 1 0	22.77	240
1 1 1	27.98	590
2 0 0	32.42	1000
2 1 0	36.37	156
2 1 1	39.99	111
2 2 0	46.51	714
3 1 1	55.15	252
2 2 2	57.83	245
4 0 0	67.88	112
4 2 0	77.25	308
4 2 2	86.28	235

Entry 6:
Structure and simulated X-ray powder pattern of Sr2ZnRh3 (a DFT-relaxed cell (GGA-PBE, Alexandria); Cu Kα (weighted mean of Kα1 and Kα2)).
Neutral-atom scattering factors, no anomalous dispersion.

Structure:
a = 5.6213 Å, b = 5.6213 Å, c = 12.9304 Å
α = 90.00°, β = 90.00°, γ = 120.00°
Space group R-3m (No. 166, hexagonal axes)
One atom of each set of equivalent atoms:
Sr: 0.0000 0.0000 0.1247 (multiplicity 6)
Zn: 0.0000 0.0000 0.5000 (multiplicity 3)
Rh: 0.0000 0.5000 0.0000 (multiplicity 9)

Most intense lines, 15° ≤ 2θ ≤ 90°, by angle:
(hkl)	two_theta	I_rel
1 1 0	31.84	185
1 0 4	33.27	359
0 2 1	37.60	791
1 1 3	38.23	1000
0 1 5	39.46	462
2 0 2	39.56	756
0 0 6	41.92	211
3 0 3	61.01	246
1 2 5	61.89	238
2 2 0	66.54	333
2 0 8	69.86	287
0 4 2	80.23	203

Entry 7:
Structure and simulated X-ray powder pattern of Sr3Zn3Rh (a DFT-relaxed cell (GGA-PBE, Alexandria); Cu Kα (weighted mean of Kα1 and Kα2)).
Neutral-atom scattering factors, no anomalous dispersion.

Structure:
a = 11.6111 Å, b = 4.4016 Å, c = 15.8893 Å
α = 90.00°, β = 107.70°, γ = 90.00°
Space group C2/m (No. 12)
One atom of each set of equivalent atoms:
Sr: 0.0248 0.0000 0.3907 (multiplicity 4)
Sr: 0.1079 0.0000 0.9208 (multiplicity 4)
Sr: 0.2479 0.5000 0.7560 (multiplicity 4)
Zn: 0.0513 0.5000 0.2384 (multiplicity 4)
Zn: 0.0982 0.5000 0.0799 (multiplicity 4)
Zn: 0.1852 0.5000 0.5375 (multiplicity 4)
Rh: 0.2252 0.5000 0.3836 (multiplicity 4)

Most intense lines, 15° ≤ 2θ ≤ 90°, by angle:
(hkl)	two_theta	I_rel
2 0 -1	15.29	570
1 1 3	29.62	663
1 1 -4	30.32	722
3 1 -1	30.81	1000
3 1 -4	34.89	491
0 0 6	35.58	429
3 1 2	36.43	749
4 0 -5	36.75	505
0 2 0	41.01	679
3 1 5	48.94	383
7 1 -3	59.56	319
6 2 -6	68.05	323

Entry 8:
Structure and simulated X-ray powder pattern of Sr3Zn9Rh2 (a DFT-relaxed cell (GGA-PBE, Alexandria); Cu Kα (weighted mean of Kα1 and Kα2)).
Neutral-atom scattering factors, no anomalous dispersion.

Structure:
a = 4.3460 Å, b = 9.6426 Å, c = 13.4598 Å
α = 90.00°, β = 90.00°, γ = 90.00°
Space group Immm (No. 71)
One atom of each set of equivalent atoms:
Sr: 0.0000 0.0000 0.0000 (multiplicity 2)
Sr: 0.0000 0.0000 0.3019 (multiplicity 4)
Zn: 0.0000 0.2834 0.1142 (multiplicity 8)
Zn: 0.0000 0.3489 0.3429 (multiplicity 8)
Zn: 0.0000 0.5000 0.0000 (multiplicity 2)
Rh: 0.0000 0.1853 0.5000 (multiplicity 4)

Most intense lines, 15° ≤ 2θ ≤ 90°, by angle:
(hkl)	two_theta	I_rel
0 2 4	32.45	322
1 2 3	34.22	1000
0 3 3	34.32	565
1 3 0	34.71	362
1 1 4	34.98	377
1 3 2	37.28	578
1 0 5	39.37	400
2 0 0	41.56	713
1 4 1	43.45	293
1 2 5	43.79	342
1 3 4	44.19	450
2 0 6	59.18	331

Entry 9:
Structure and simulated X-ray powder pattern of Sr2Zn12Rh5 (a DFT-relaxed cell (GGA-PBE, Alexandria); Cu Kα (weighted mean of Kα1 and Kα2)).
Neutral-atom scattering factors, no anomalous dispersion.

Structure:
a = 9.2066 Å, b = 9.2066 Å, c = 13.2733 Å
α = 90.00°, β = 90.00°, γ = 120.00°
Space group R-3m (No. 166, hexagonal axes)
One atom of each set of equivalent atoms:
Sr: 0.0000 0.0000 0.1620 (multiplicity 6)
Zn: 0.0000 0.2817 0.5000 (multiplicity 18)
Zn: 0.0168 0.5084 0.3488 (multiplicity 18)
Rh: 0.0000 0.0000 0.4032 (multiplicity 6)
Rh: 0.0000 0.5000 0.0000 (multiplicity 9)

Most intense lines, 15° ≤ 2θ ≤ 90°, by angle:
(hkl)	two_theta	I_rel
3 0 0	33.72	320
0 2 4	35.19	243
2 2 0	39.14	1000
3 0 3	39.56	964
2 1 4	40.43	183
0 0 6	40.82	857
2 2 3	44.36	867
1 1 6	45.51	390
2 2 6	57.81	182
6 0 0	70.92	229
3 0 9	73.43	218
4 4 0	84.12	182

Entry 10:
Structure and simulated X-ray powder pattern of SrZn3Rh (a DFT-relaxed cell (GGA-PBE, Alexandria); Cu Kα (weighted mean of Kα1 and Kα2)).
Neutral-atom scattering factors, no anomalous dispersion.

Structure:
a = 6.6978 Å, b = 6.6978 Å, c = 16.4125 Å
α = 90.00°, β = 90.00°, γ = 120.00°
Space group R-3m (No. 166, hexagonal axes)
One atom of each set of equivalent atoms:
Sr: 0.0000 0.0000 0.1076 (multiplicity 6)
Zn: 0.0676 0.5338 0.0901 (multiplicity 18)
Rh: 0.0000 0.0000 0.2970 (multiplicity 6)

Most intense lines, 15° ≤ 2θ ≤ 90°, by angle:
(hkl)	two_theta	I_rel
1 0 1	16.21	218
1 1 0	26.62	481
0 2 1	31.32	644
0 0 6	32.74	225
0 2 4	37.99	190
2 0 5	41.55	1000
1 2 2	42.69	376
0 3 3	50.03	388
2 2 0	54.83	252
0 2 10	65.33	227
0 4 5	71.06	239
3 3 0	87.34	176

Entry 11:
Structure and simulated X-ray powder pattern of SrZn3Rh (a DFT-relaxed cell (GGA-PBE, Alexandria); Cu Kα (weighted mean of Kα1 and Kα2)).
Neutral-atom scattering factors, no anomalous dispersion.

Structure:
a = 16.6147 Å, b = 4.2724 Å, c = 5.7056 Å
α = 90.00°, β = 98.62°, γ = 90.00°
Space group Cm (No. 8)
One atom of each set of equivalent atoms:
Sr: 0.0000 0.0000 0.0000 (multiplicity 2)
Sr: 0.2136 0.5000 0.3217 (multiplicity 2)
Zn: 0.0828 0.0000 0.5477 (multiplicity 2)
Zn: 0.1322 0.5000 0.7901 (multiplicity 2)
Zn: 0.3063 0.5000 0.8588 (multiplicity 2)
Zn: 0.3519 0.0000 0.1767 (multiplicity 2)
Zn: 0.3521 0.0000 0.6568 (multiplicity 2)
Zn: 0.4936 0.0000 0.4812 (multiplicity 2)
Rh: 0.2181 0.0000 0.8585 (multiplicity 2)
Rh: 0.4045 0.5000 0.4600 (multiplicity 2)

Most intense lines, 15° ≤ 2θ ≤ 90°, by angle:
(hkl)	two_theta	I_rel
2 0 -1	17.69	306
3 1 -1	29.61	242
2 0 -2	31.97	196
2 0 2	35.16	274
4 0 -2	35.82	205
5 1 -1	36.23	475
1 1 -2	37.93	470
5 1 1	39.80	1000
0 2 0	42.31	575
7 1 0	44.04	271
7 1 -1	44.88	243
7 1 -3	62.38	216

Entry 12:
Structure and simulated X-ray powder pattern of Sr3ZnRh3 (a DFT-relaxed cell (GGA-PBE, Alexandria); Cu Kα (weighted mean of Kα1 and Kα2)).
Neutral-atom scattering factors, no anomalous dispersion.

Structure:
a = 4.3707 Å, b = 11.0831 Å, c = 13.9460 Å
α = 90.00°, β = 90.00°, γ = 90.00°
Space group Cmcm (No. 63)
One atom of each set of equivalent atoms:
Sr: 0.0000 0.0029 0.2500 (multiplicity 4)
Sr: 0.0000 0.2803 0.6062 (multiplicity 8)
Zn: 0.0000 0.0000 0.0000 (multiplicity 4)
Rh: 0.0000 0.3098 0.2500 (multiplicity 4)
Rh: 0.0000 0.4332 0.0864 (multiplicity 8)

Most intense lines, 15° ≤ 2θ ≤ 90°, by angle:
(hkl)	two_theta	I_rel
0 2 1	17.22	305
1 1 3	29.18	403
1 3 0	31.71	449
0 4 0	32.35	444
1 1 4	33.87	623
1 3 3	37.28	1000
0 4 3	37.80	635
0 0 6	38.74	317
2 0 0	41.31	563
1 1 6	44.92	229
2 4 3	57.23	372
1 7 0	62.38	264

Please write out number 6 again, unchanged.
Structure and simulated X-ray powder pattern of Sr2ZnRh3 (a DFT-relaxed cell (GGA-PBE, Alexandria); Cu Kα (weighted mean of Kα1 and Kα2)).
Neutral-atom scattering factors, no anomalous dispersion.

Structure:
a = 5.6213 Å, b = 5.6213 Å, c = 12.9304 Å
α = 90.00°, β = 90.00°, γ = 120.00°
Space group R-3m (No. 166, hexagonal axes)
One atom of each set of equivalent atoms:
Sr: 0.0000 0.0000 0.1247 (multiplicity 6)
Zn: 0.0000 0.0000 0.5000 (multiplicity 3)
Rh: 0.0000 0.5000 0.0000 (multiplicity 9)

Most intense lines, 15° ≤ 2θ ≤ 90°, by angle:
(hkl)	two_theta	I_rel
1 1 0	31.84	185
1 0 4	33.27	359
0 2 1	37.60	791
1 1 3	38.23	1000
0 1 5	39.46	462
2 0 2	39.56	756
0 0 6	41.92	211
3 0 3	61.01	246
1 2 5	61.89	238
2 2 0	66.54	333
2 0 8	69.86	287
0 4 2	80.23	203